Entry 1:
For Pm3SmTm7, a structure optimized by DFT (PBE) gives the theoretical powder diffractogram in this record (a wavelength of 1.5418 Å).
Peak positions follow from Bragg's law for the DFT cell and can differ from measured ones.

Atomic structure:
```
data_Pm3SmTm7
_space_group_name_H-M_alt 'P 1 2/m 1'
_space_group_IT_number 10
_cell_length_a 6.9315
_cell_length_b 5.4799
_cell_length_c 9.9611
_cell_angle_alpha 90.00
_cell_angle_beta 110.29
_cell_angle_gamma 90.00
loop_
_space_group_symop_operation_xyz
'x,y,z'
'-x,-y,-z'
'-x,y,-z'
'x,-y,z'
loop_
_atom_site_label
_atom_site_fract_x
_atom_site_fract_y
_atom_site_fract_z
Pm1 0.0000 0.0000 0.0000
Pm2 0.2836 0.5000 0.4994
Sm1 0.5000 0.0000 0.0000
Tm1 0.0000 0.0000 0.5000
Tm2 0.1448 0.5000 0.7886
Tm3 0.3203 0.5000 0.1393
Tm4 0.4167 0.0000 0.3301
```

Largest 8 diffraction maxima, by angle, 2θ = 10–90°:
| (hkl) | 2θ/deg | I (rel.) |
| --- | --- | --- |
| 1 1 -3 | 31.7 | 54 |
| 2 1 0 | 32.0 | 100 |
| 2 0 -3 | 32.2 | 30 |
| 0 2 0 | 32.7 | 52 |
| 0 1 3 | 33.1 | 53 |
| 2 2 -3 | 46.5 | 22 |
| 2 3 0 | 57.9 | 19 |
| 0 3 3 | 58.6 | 27 |

***

Entry 2:
For Pm3SmTm7, a structure optimized by DFT (PBE) gives the theoretical powder diffractogram in this record (a wavelength of 1.5418 Å).
Peak positions follow from Bragg's law for the DFT cell and can differ from measured ones.

Atomic structure:
```
data_Pm3SmTm7
_space_group_name_H-M_alt 'P 3 m 1'
_space_group_IT_number 156
_cell_length_a 7.0097
_cell_length_b 7.0097
_cell_length_c 8.6268
_cell_angle_alpha 90.00
_cell_angle_beta 90.00
_cell_angle_gamma 120.00
loop_
_space_group_symop_operation_xyz
'x,y,z'
'-y,x-y,z'
'-x+y,-x,z'
'-y,-x,z'
'-x+y,y,z'
'x,x-y,z'
loop_
_atom_site_label
_atom_site_fract_x
_atom_site_fract_y
_atom_site_fract_z
Pm1 0.1670 0.3340 0.0000
Sm1 0.0000 0.0000 0.6615
Tm1 0.0016 0.5008 0.6599
Tm2 0.3324 0.1662 0.3365
Tm3 0.3333 0.6667 0.3372
```

Largest 8 diffraction maxima, by angle, 2θ = 10–90°:
| (hkl) | 2θ/deg | I (rel.) |
| --- | --- | --- |
| 0 0 3 | 31.1 | 33 |
| 0 2 1 | 31.2 | 100 |
| 2 0 2 | 36.2 | 69 |
| 0 2 4 | 52.0 | 24 |
| 2 2 0 | 52.2 | 24 |
| 2 0 5 | 61.9 | 15 |
| 4 0 1 | 62.0 | 42 |
| 0 4 2 | 65.2 | 12 |

***

Entry 3:
For Pm4Sm8Tm, a structure optimized by DFT (PBE) gives the theoretical powder diffractogram in this record (a wavelength of 1.5418 Å).
Peak positions follow from Bragg's law for the DFT cell and can differ from measured ones.

Atomic structure:
```
data_Pm4Sm8Tm
_space_group_name_H-M_alt 'R -3 m'
_space_group_IT_number 166
_space_group_name_Hall '-R 3 2"'
_cell_length_a 7.3844
_cell_length_b 7.3844
_cell_length_c 28.3349
_cell_angle_alpha 90.00
_cell_angle_beta 90.00
_cell_angle_gamma 120.00
loop_
_atom_site_label
_atom_site_fract_x
_atom_site_fract_y
_atom_site_fract_z
Pm1 0.0000 0.0000 0.0000
Pm2 0.0000 0.5000 0.0000
Sm1 0.0000 0.0000 0.2139
Sm2 0.0337 0.5169 0.7666
Tm1 0.0000 0.0000 0.5000
```

Largest 8 diffraction maxima, by angle, 2θ = 10–90°:
| (hkl) | 2θ/deg | I (rel.) |
| --- | --- | --- |
| 0 2 1 | 28.1 | 13 |
| 0 0 9 | 28.3 | 26 |
| 0 2 4 | 30.7 | 100 |
| 2 0 5 | 32.1 | 35 |
| 2 0 8 | 37.9 | 28 |
| 2 2 0 | 49.4 | 28 |
| 0 2 13 | 50.7 | 13 |
| 2 2 9 | 57.9 | 18 |

***

Entry 4:
For Pm6Sm2Tm3, a structure optimized by DFT (PBE) gives the theoretical powder diffractogram in this record (a wavelength of 1.5418 Å).
Peak positions follow from Bragg's law for the DFT cell and can differ from measured ones.

Atomic structure:
```
data_Pm6Sm2Tm3
_space_group_name_H-M_alt 'P -1'
_space_group_IT_number 2
_cell_length_a 6.1147
_cell_length_b 8.4802
_cell_length_c 8.5051
_cell_angle_alpha 104.63
_cell_angle_beta 108.30
_cell_angle_gamma 108.07
loop_
_space_group_symop_operation_xyz
'x,y,z'
'-x,-y,-z'
loop_
_atom_site_label
_atom_site_fract_x
_atom_site_fract_y
_atom_site_fract_z
Pm1 0.1396 0.4037 0.2115
Pm2 0.2444 0.0453 0.9059
Pm3 0.2578 0.8501 0.2586
Sm1 0.3299 0.6856 0.6426
Tm1 0.2018 0.2219 0.5461
Tm2 0.5000 0.5000 0.0000
```

Largest 8 diffraction maxima, by angle, 2θ = 10–90°:
| (hkl) | 2θ/deg | I (rel.) |
| --- | --- | --- |
| -2 1 1 | 29.3 | 59 |
| 0 2 1 | 30.8 | 98 |
| 1 -1 2 | 31.0 | 73 |
| 1 2 -2 | 31.6 | 95 |
| 1 -3 1 | 32.5 | 70 |
| 1 0 -3 | 32.7 | 100 |
| 2 1 0 | 41.0 | 22 |
| 0 3 -4 | 48.5 | 25 |

***

Entry 5:
For Pm3Sm8Tm4, a structure optimized by DFT (PBE) gives the theoretical powder diffractogram in this record (a wavelength of 1.5418 Å).
Peak positions follow from Bragg's law for the DFT cell and can differ from measured ones.

Atomic structure:
```
data_Pm3Sm8Tm4
_space_group_name_H-M_alt 'C 1 2/m 1'
_space_group_IT_number 12
_cell_length_a 13.7128
_cell_length_b 12.1906
_cell_length_c 6.8450
_cell_angle_alpha 90.00
_cell_angle_beta 117.93
_cell_angle_gamma 90.00
loop_
_space_group_symop_operation_xyz
'x,y,z'
'-x,-y,-z'
'-x,y,-z'
'x,-y,z'
'x+1/2,y+1/2,z'
'-x+1/2,-y+1/2,-z'
'-x+1/2,y+1/2,-z'
'x+1/2,-y+1/2,z'
loop_
_atom_site_label
_atom_site_fract_x
_atom_site_fract_y
_atom_site_fract_z
Pm1 0.0000 0.0000 0.0000
Pm2 0.2500 0.2500 0.5000
Sm1 0.0000 0.2053 0.5000
Sm2 0.0000 0.2530 0.0000
Sm3 0.2030 0.0000 0.6719
Sm4 0.2443 0.5000 0.7955
Tm1 0.0000 0.5000 0.0000
Tm2 0.0000 0.5000 0.5000
Tm3 0.2500 0.2500 0.0000
```

Largest 8 diffraction maxima, by angle, 2θ = 10–90°:
| (hkl) | 2θ/deg | I (rel.) |
| --- | --- | --- |
| 2 0 -2 | 26.0 | 26 |
| 0 4 0 | 29.3 | 83 |
| 4 0 0 | 29.5 | 100 |
| 2 2 -2 | 30.0 | 40 |
| 4 0 -2 | 30.5 | 21 |
| 0 2 2 | 33.1 | 33 |
| 4 2 -2 | 33.9 | 33 |
| 4 4 0 | 42.1 | 63 |

***

Entry 6:
For Pm7Sm2Tm2, a structure optimized by DFT (PBE) gives the theoretical powder diffractogram in this record (a wavelength of 1.5418 Å).
Peak positions follow from Bragg's law for the DFT cell and can differ from measured ones.

Atomic structure:
```
data_Pm7Sm2Tm2
_space_group_name_H-M_alt 'C 1 2/m 1'
_space_group_IT_number 12
_cell_length_a 9.8089
_cell_length_b 9.3861
_cell_length_c 8.4585
_cell_angle_alpha 90.00
_cell_angle_beta 104.31
_cell_angle_gamma 90.00
loop_
_space_group_symop_operation_xyz
'x,y,z'
'-x,-y,-z'
'-x,y,-z'
'x,-y,z'
'x+1/2,y+1/2,z'
'-x+1/2,-y+1/2,-z'
'-x+1/2,y+1/2,-z'
'x+1/2,-y+1/2,z'
loop_
_atom_site_label
_atom_site_fract_x
_atom_site_fract_y
_atom_site_fract_z
Pm1 0.0000 0.0000 0.0000
Pm2 0.2002 0.2973 0.1825
Pm3 0.2023 0.5000 0.5202
Sm1 0.0915 0.5000 0.8365
Tm1 0.0000 0.1944 0.5000
```

Largest 8 diffraction maxima, by angle, 2θ = 10–90°:
| (hkl) | 2θ/deg | I (rel.) |
| --- | --- | --- |
| 3 1 0 | 29.8 | 26 |
| 2 2 1 | 30.6 | 100 |
| 1 3 -1 | 31.2 | 52 |
| 2 2 -2 | 31.5 | 56 |
| 3 1 -2 | 32.6 | 25 |
| 0 0 3 | 32.8 | 39 |
| 4 0 -1 | 36.7 | 16 |
| 2 2 -5 | 58.2 | 17 |